Theoretical X-ray powder pattern of Pm8CdCu2 for copper Kα, from a structure optimized by DFT (GGA-PBE).
No peak broadening, texture or thermal motion is included.

Crystal structure
```
Pm8CdCu2
1.0
8.190 -2.652 0.000
8.190 2.652 0.000
-3.883 0.000 7.332
Pm Cd Cu
8 1 2
Direct
0.064 0.064 0.230
0.155 0.155 0.727
0.312 0.312 0.524
0.393 0.393 0.033
0.607 0.607 0.967
0.688 0.688 0.476
0.845 0.845 0.273
0.936 0.936 0.770
0.500 0.500 0.500
0.214 0.214 0.123
0.786 0.786 0.877
```

Top 6 peaks for 2θ from 10° to 80°, in order of falling intensity:
| d/Å | Rel. int. |
| --- | --- |
| 2.780 | 100.0 |
| 2.749 | 84.0 |
| 2.652 | 50.7 |
| 2.693 | 38.4 |
| 1.889 | 27.1 |
| 3.162 | 18.5 |